1.
Structure and theoretical X-ray powder pattern of La2MgS4 (a PBE-relaxed structure; Cu Kα X-rays).

Main lines, low angle first (2θ = 10–90°):
- 13.14°, I = 92.5
- 25.32°, I = 100.0
- 30.65°, I = 94.0
- 33.48°, I = 26.5
- 40.16°, I = 40.7
- 43.90°, I = 86.4
- 46.02°, I = 24.5
- 61.00°, I = 24.7
- 72.45°, I = 29.3
- 80.69°, I = 28.2

Structure:
abc: 8.2503 8.2503 8.2503
angles: 60.00 60.00 60.00
Positions (direct):
La (0.0000, 0.0000, 0.0000)
La (0.0000, 0.0000, 0.5000)
La (0.0000, 0.5000, 0.0000)
La (0.5000, 0.0000, 0.0000)
Mg (0.3750, 0.3750, 0.3750)
Mg (0.6250, 0.6250, 0.6250)
S (0.2439, 0.7520, 0.7520)
S (0.2480, 0.2480, 0.2480)
S (0.2480, 0.2480, 0.7561)
S (0.2480, 0.7561, 0.2480)
S (0.7520, 0.2439, 0.7520)
S (0.7520, 0.7520, 0.2439)
S (0.7520, 0.7520, 0.7520)
S (0.7561, 0.2480, 0.2480)

2.
Structure and theoretical X-ray powder pattern of BaAgSbS3 (a PBE-relaxed structure; Cu Kα X-rays).

Main lines, low angle first (2θ = 10–90°):
- 23.56°, I = 53.2
- 25.37°, I = 35.6
- 26.79°, I = 76.7
- 28.81°, I = 100.0
- 31.45°, I = 42.5
- 38.07°, I = 31.7
- 42.06°, I = 24.2
- 44.26°, I = 20.1
- 46.13°, I = 23.5
- 48.18°, I = 25.4

Structure:
abc: 6.2697 6.2697 17.4176
angles: 98.67 98.67 81.76
Positions (direct):
Ba (0.0486, 0.2971, 0.1106)
Ba (0.2971, 0.0486, 0.6106)
Ba (0.7029, 0.9514, 0.3894)
Ba (0.9514, 0.7029, 0.8894)
Ag (0.1951, 0.8049, 0.2500)
Ag (0.4249, 0.5751, 0.7500)
Ag (0.5751, 0.4249, 0.2500)
Ag (0.8049, 0.1951, 0.7500)
Sb (0.1870, 0.4746, 0.4197)
Sb (0.4746, 0.1870, 0.9197)
Sb (0.5254, 0.8130, 0.0803)
Sb (0.8130, 0.5254, 0.5803)
S (0.0053, 0.4642, 0.7142)
S (0.0817, 0.1952, 0.9183)
S (0.1952, 0.0817, 0.4183)
S (0.4367, 0.5245, 0.6054)
S (0.4642, 0.0053, 0.2142)
S (0.4755, 0.5633, 0.8946)
S (0.5245, 0.4367, 0.1054)
S (0.5358, 0.9947, 0.7858)
S (0.5633, 0.4755, 0.3946)
S (0.8048, 0.9183, 0.5817)
S (0.9183, 0.8048, 0.0817)
S (0.9947, 0.5358, 0.2858)

3.
Structure and theoretical X-ray powder pattern of IrN2Cl6 (a PBE-relaxed structure; Cu Kα X-rays).

Main lines, low angle first (2θ = 10–90°):
- 15.68°, I = 100.0
- 18.12°, I = 68.0
- 25.74°, I = 22.4
- 30.28°, I = 46.2
- 36.72°, I = 37.3
- 40.15°, I = 16.1
- 41.24°, I = 31.8
- 48.31°, I = 23.3
- 52.91°, I = 23.3
- 55.54°, I = 22.1

Structure:
abc: 6.9218 6.9218 6.9218
angles: 60.00 60.00 60.00
Positions (direct):
Ir (0.0000, 0.0000, 0.0000)
N (0.2500, 0.2500, 0.2500)
N (0.7500, 0.7500, 0.7500)
Cl (0.2347, 0.2347, 0.7653)
Cl (0.2347, 0.7653, 0.2347)
Cl (0.2347, 0.7653, 0.7653)
Cl (0.7653, 0.2347, 0.2347)
Cl (0.7653, 0.2347, 0.7653)
Cl (0.7653, 0.7653, 0.2347)

4.
Structure and theoretical X-ray powder pattern of LiEuAs (a PBE-relaxed structure; Cu Kα X-rays).

Main lines, low angle first (2θ = 10–90°):
- 22.27°, I = 17.8
- 22.82°, I = 35.7
- 25.79°, I = 20.8
- 32.39°, I = 28.2
- 32.85°, I = 34.9
- 33.24°, I = 100.0
- 35.82°, I = 15.0
- 39.42°, I = 28.4
- 40.41°, I = 22.8
- 53.02°, I = 17.8

Structure:
abc: 7.4638 4.4641 7.9837
angles: 90.00 90.00 90.00
Positions (direct):
Li (0.1571, 0.2500, 0.0711)
Li (0.3429, 0.7500, 0.5711)
Li (0.6571, 0.2500, 0.4289)
Li (0.8429, 0.7500, 0.9289)
Eu (0.0086, 0.2500, 0.7041)
Eu (0.4914, 0.7500, 0.2041)
Eu (0.5086, 0.2500, 0.7959)
Eu (0.9914, 0.7500, 0.2959)
As (0.2253, 0.7500, 0.9041)
As (0.2747, 0.2500, 0.4041)
As (0.7253, 0.7500, 0.5959)
As (0.7747, 0.2500, 0.0959)

5.
Structure and theoretical X-ray powder pattern of YTmCd2 (a PBE-relaxed structure; Cu Kα X-rays).

Main lines, low angle first (2θ = 10–90°):
- 20.61°, I = 5.5
- 33.97°, I = 100.0
- 40.06°, I = 3.2
- 48.80°, I = 17.7
- 53.51°, I = 1.5
- 60.79°, I = 36.0
- 64.91°, I = 1.1
- 71.50°, I = 11.0
- 75.33°, I = 1.1
- 81.57°, I = 15.4

Structure:
abc: 5.2780 5.2780 5.2780
angles: 60.00 60.00 60.00
Positions (direct):
Y (0.0000, 0.0000, 0.0000)
Tm (0.5000, 0.5000, 0.5000)
Cd (0.2500, 0.2500, 0.2500)
Cd (0.7500, 0.7500, 0.7500)

6.
Structure and theoretical X-ray powder pattern of RbF3 (a PBE-relaxed structure; Cu Kα X-rays).

Main lines, low angle first (2θ = 10–90°):
- 21.40°, I = 66.1
- 30.44°, I = 55.5
- 37.51°, I = 100.0
- 43.59°, I = 47.0
- 49.05°, I = 30.2
- 54.10°, I = 22.9
- 63.35°, I = 27.2
- 67.69°, I = 15.4
- 76.01°, I = 30.2
- 87.99°, I = 13.3

Structure:
abc: 4.1527 4.1527 4.1527
angles: 90.00 90.00 90.00
Positions (direct):
Rb (0.0000, 0.0000, 0.0000)
F (0.0000, 0.5000, 0.5000)
F (0.5000, 0.0000, 0.5000)
F (0.5000, 0.5000, 0.0000)

7.
Structure and theoretical X-ray powder pattern of Hf3N4 (a PBE-relaxed structure; Cu Kα X-rays).

Main lines, low angle first (2θ = 10–90°):
- 32.06°, I = 100.0
- 33.11°, I = 47.6
- 33.42°, I = 35.1
- 33.56°, I = 58.5
- 34.18°, I = 21.3
- 38.59°, I = 24.7
- 47.76°, I = 31.8
- 54.61°, I = 18.8
- 57.53°, I = 27.3
- 66.70°, I = 25.2

Structure:
abc: 9.8082 3.2437 10.7252
angles: 90.00 90.00 90.00
Positions (direct):
Hf (0.0701, 0.2500, 0.1242)
Hf (0.1061, 0.2500, 0.5930)
Hf (0.2266, 0.2500, 0.8529)
Hf (0.2734, 0.7500, 0.3529)
Hf (0.3939, 0.7500, 0.0930)
Hf (0.4299, 0.7500, 0.6242)
Hf (0.5701, 0.2500, 0.3758)
Hf (0.6061, 0.2500, 0.9070)
Hf (0.7266, 0.2500, 0.6471)
Hf (0.7734, 0.7500, 0.1471)
Hf (0.8939, 0.7500, 0.4070)
Hf (0.9299, 0.7500, 0.8758)
N (0.0076, 0.2500, 0.7754)
N (0.1033, 0.7500, 0.4696)
N (0.1416, 0.7500, 0.9817)
N (0.2372, 0.7500, 0.7140)
N (0.2628, 0.2500, 0.2140)
N (0.3584, 0.2500, 0.4817)
N (0.3967, 0.2500, 0.9696)
N (0.4924, 0.7500, 0.2754)
N (0.5076, 0.2500, 0.7246)
N (0.6033, 0.7500, 0.0304)
N (0.6416, 0.7500, 0.5183)
N (0.7372, 0.7500, 0.7860)
N (0.7628, 0.2500, 0.2860)
N (0.8584, 0.2500, 0.0183)
N (0.8967, 0.2500, 0.5304)
N (0.9924, 0.7500, 0.2246)

8.
Structure and theoretical X-ray powder pattern of ZrI3 (a PBE-relaxed structure; Cu Kα X-rays).

Main lines, low angle first (2θ = 10–90°):
- 12.76°, I = 52.1
- 26.02°, I = 100.0
- 27.00°, I = 12.3
- 35.23°, I = 34.0
- 37.61°, I = 10.5
- 38.96°, I = 31.4
- 47.11°, I = 19.5
- 47.45°, I = 14.5
- 48.04°, I = 10.9
- 70.03°, I = 10.9

Structure:
abc: 8.0080 8.0080 6.6041
angles: 90.00 90.00 120.00
Positions (direct):
Zr (0.0000, 0.0000, 0.0000)
Zr (0.0000, 0.0000, 0.5000)
I (0.0000, 0.3022, 0.2500)
I (0.0000, 0.6978, 0.7500)
I (0.3022, 0.0000, 0.2500)
I (0.3022, 0.3022, 0.7500)
I (0.6978, 0.0000, 0.7500)
I (0.6978, 0.6978, 0.2500)